Structure and computed powder XRD pattern of LiBeZnTe (a structure optimized by DFT (PBE); Cu Kα X-rays).
Peak positions follow from Bragg's law for the DFT cell and can differ from measured ones.

Main lines, low angle first (2θ from 10° to 90°):
| 2theta | d (Å) | I (rel.) |
| --- | --- | --- |
| 22.82 | 3.897 | 994 |
| 29.36 | 3.042 | 1000 |
| 32.29 | 2.772 | 803 |
| 35.15 | 2.553 | 291 |
| 37.65 | 2.389 | 252 |
| 42.16 | 2.143 | 499 |
| 42.35 | 2.134 | 208 |
| 46.02 | 1.972 | 163 |
| 51.96 | 1.760 | 209 |
| 52.39 | 1.746 | 507 |

Crystal structure
a = 3.945 Å, b = 4.268 Å, c = 9.557 Å
α = 90.00°, β = 90.00°, γ = 90.00°
Fractional coordinates of all 8 atoms:
Li1 0.000 0.000 0.000
Li2 0.000 0.500 0.500
Be1 0.000 0.000 0.704
Be2 0.000 0.500 0.204
Zn1 0.000 0.000 0.304
Zn2 0.000 0.500 0.804
Te1 0.500 0.000 0.549
Te2 0.500 0.500 0.049

---

Structure and computed powder XRD pattern of YGa4Ir2Os (a structure optimized by DFT (PBE); Cu Kα X-rays).
Peak positions follow from Bragg's law for the DFT cell and can differ from measured ones.

Main lines, low angle first (2θ from 10° to 90°):
| 2theta | d (Å) | I (rel.) |
| --- | --- | --- |
| 10.41 | 8.494 | 515 |
| 27.95 | 3.192 | 464 |
| 37.30 | 2.411 | 1000 |
| 42.44 | 2.130 | 958 |
| 46.28 | 1.962 | 267 |
| 57.76 | 1.596 | 281 |
| 61.68 | 1.504 | 164 |
| 74.25 | 1.277 | 266 |
| 77.65 | 1.230 | 161 |
| 80.38 | 1.195 | 106 |

Crystal structure
a = 8.843 Å, b = 8.843 Å, c = 8.843 Å
α = 27.87°, β = 27.87°, γ = 27.87°
Fractional coordinates of all 8 atoms:
Y1 0.000 0.000 0.000
Ga1 0.132 0.132 0.132
Ga2 0.399 0.399 0.399
Ga3 0.601 0.601 0.601
Ga4 0.868 0.868 0.868
Ir1 0.241 0.241 0.241
Ir2 0.759 0.759 0.759
Os1 0.500 0.500 0.500

---

Structure and computed powder XRD pattern of Gd2CBr (a structure optimized by DFT (PBE); Cu Kα X-rays).
Peak positions follow from Bragg's law for the DFT cell and can differ from measured ones.

Main lines, low angle first (2θ from 10° to 90°):
| 2theta | d (Å) | I (rel.) |
| --- | --- | --- |
| 27.62 | 3.230 | 247 |
| 28.32 | 3.151 | 71 |
| 33.45 | 2.679 | 1000 |
| 37.51 | 2.398 | 179 |
| 47.22 | 1.925 | 133 |
| 48.84 | 1.865 | 243 |
| 60.49 | 1.530 | 181 |
| 63.17 | 1.472 | 201 |
| 65.13 | 1.432 | 129 |
| 81.33 | 1.183 | 156 |

Crystal structure
a = 3.730 Å, b = 3.730 Å, c = 14.381 Å
α = 90.00°, β = 90.00°, γ = 120.00°
Fractional coordinates of all 8 atoms:
Gd1 0.333 0.667 0.090
Gd2 0.333 0.667 0.410
Gd3 0.667 0.333 0.590
Gd4 0.667 0.333 0.910
C1 0.000 0.000 0.000
C2 0.000 0.000 0.500
Br1 0.333 0.667 0.750
Br2 0.667 0.333 0.250

---

Structure and computed powder XRD pattern of LaUAl2O8 (a structure optimized by DFT (PBE); Cu Kα X-rays).
Peak positions follow from Bragg's law for the DFT cell and can differ from measured ones.

Main lines, low angle first (2θ from 10° to 90°):
| 2theta | d (Å) | I (rel.) |
| --- | --- | --- |
| 12.20 | 7.256 | 251 |
| 19.01 | 4.669 | 1000 |
| 24.54 | 3.628 | 320 |
| 26.05 | 3.420 | 572 |
| 27.93 | 3.195 | 436 |
| 30.53 | 2.929 | 586 |
| 31.91 | 2.805 | 404 |
| 37.51 | 2.398 | 399 |
| 38.56 | 2.335 | 214 |
| 42.08 | 2.147 | 251 |

Crystal structure
a = 4.680 Å, b = 4.690 Å, c = 7.271 Å
α = 87.20°, β = 87.32°, γ = 85.98°
Fractional coordinates of all 12 atoms:
La1 0.000 0.000 0.000
U1 0.000 0.000 0.500
Al1 0.469 0.468 0.698
Al2 0.531 0.532 0.302
O1 0.207 0.790 0.715
O2 0.208 0.791 0.285
O3 0.318 0.316 0.493
O4 0.348 0.344 0.932
O5 0.652 0.656 0.068
O6 0.682 0.684 0.507
O7 0.792 0.209 0.715
O8 0.793 0.210 0.285

---

Structure and computed powder XRD pattern of Ti6GaMo (a structure optimized by DFT (PBE); Cu Kα X-rays).
Peak positions follow from Bragg's law for the DFT cell and can differ from measured ones.

Main lines, low angle first (2θ from 10° to 90°):
| 2theta | d (Å) | I (rel.) |
| --- | --- | --- |
| 26.18 | 3.404 | 86 |
| 36.11 | 2.487 | 161 |
| 36.22 | 2.480 | 85 |
| 38.53 | 2.337 | 271 |
| 41.14 | 2.194 | 1000 |
| 53.86 | 1.702 | 144 |
| 65.08 | 1.433 | 103 |
| 71.48 | 1.320 | 177 |
| 78.25 | 1.222 | 117 |
| 79.80 | 1.202 | 82 |

Crystal structure
a = 4.673 Å, b = 5.750 Å, c = 9.920 Å
α = 90.00°, β = 90.00°, γ = 90.00°
Fractional coordinates of all 16 atoms:
Ti1 0.000 0.000 0.000
Ti2 0.000 0.245 0.246
Ti3 0.000 0.255 0.746
Ti4 0.000 0.500 0.500
Ti5 0.000 0.745 0.746
Ti6 0.000 0.755 0.246
Ti7 0.500 0.000 0.663
Ti8 0.500 0.245 0.417
Ti9 0.500 0.255 0.917
Ti10 0.500 0.500 0.163
Ti11 0.500 0.745 0.917
Ti12 0.500 0.755 0.417
Ga1 0.000 0.000 0.498
Ga2 0.000 0.500 0.998
Mo1 0.500 0.000 0.164
Mo2 0.500 0.500 0.664

---

Please write out number 5 again, unchanged.
Structure and computed powder XRD pattern of Ti6GaMo (a structure optimized by DFT (PBE); Cu Kα X-rays).
Peak positions follow from Bragg's law for the DFT cell and can differ from measured ones.

Main lines, low angle first (2θ from 10° to 90°):
| 2theta | d (Å) | I (rel.) |
| --- | --- | --- |
| 26.18 | 3.404 | 86 |
| 36.11 | 2.487 | 161 |
| 36.22 | 2.480 | 85 |
| 38.53 | 2.337 | 271 |
| 41.14 | 2.194 | 1000 |
| 53.86 | 1.702 | 144 |
| 65.08 | 1.433 | 103 |
| 71.48 | 1.320 | 177 |
| 78.25 | 1.222 | 117 |
| 79.80 | 1.202 | 82 |

Crystal structure
a = 4.673 Å, b = 5.750 Å, c = 9.920 Å
α = 90.00°, β = 90.00°, γ = 90.00°
Fractional coordinates of all 16 atoms:
Ti1 0.000 0.000 0.000
Ti2 0.000 0.245 0.246
Ti3 0.000 0.255 0.746
Ti4 0.000 0.500 0.500
Ti5 0.000 0.745 0.746
Ti6 0.000 0.755 0.246
Ti7 0.500 0.000 0.663
Ti8 0.500 0.245 0.417
Ti9 0.500 0.255 0.917
Ti10 0.500 0.500 0.163
Ti11 0.500 0.745 0.917
Ti12 0.500 0.755 0.417
Ga1 0.000 0.000 0.498
Ga2 0.000 0.500 0.998
Mo1 0.500 0.000 0.164
Mo2 0.500 0.500 0.664